The following is a calculated PXRD pattern of LiNb2Te4Cl10O. It was derived from a structure optimized by DFT (PBE), using CuKα.
Intensities are scaled so that the largest is 100.

Structure:
```
data_LiNb2Te4Cl10O
_chemical_formula_sum 'Li1 Nb2 Te4 Cl10 O1'
_space_group_name_H-M_alt 'P 1'
_space_group_IT_number 1
_cell_length_a 7.1432
_cell_length_b 8.9085
_cell_length_c 9.4648
_cell_angle_alpha 81.17
_cell_angle_beta 89.76
_cell_angle_gamma 75.54
loop_
_space_group_symop_operation_xyz
'x,y,z'
loop_
_atom_site_label
_atom_site_type_symbol
_atom_site_fract_x
_atom_site_fract_y
_atom_site_fract_z
Li1 Li 0.0000 0.0000 0.0000
Nb1 Nb 0.8862 0.0143 0.3652
Nb2 Nb 0.9261 0.2984 0.6250
Te1 Te 0.2408 0.7356 0.8185
Te2 Te 0.3242 0.4572 0.0080
Te3 Te 0.5052 0.8390 0.9695
Te4 Te 0.5948 0.5557 0.1506
Cl1 Cl 0.0252 0.1652 0.1667
Cl2 Cl 0.0677 0.4393 0.4485
Cl3 Cl 0.1999 0.8529 0.4159
Cl4 Cl 0.2365 0.1253 0.7126
Cl5 Cl 0.5743 0.1770 0.2715
Cl6 Cl 0.6092 0.4392 0.5608
Cl7 Cl 0.7408 0.8505 0.5179
Cl8 Cl 0.7857 0.1277 0.8057
Cl9 Cl 0.8621 0.8375 0.1680
Cl10 Cl 0.9518 0.4643 0.7973
O1 O 0.9084 0.1487 0.4918
```

Peak list (10 most intense, 10 to 90 degrees two-theta, in order of rising 2θ)
Position (°2θ)	d_spacing	I (rel.)	(hkl)
12.91	6.856	23	0 1 1
14.32	6.184	29	1 1 0
15.13	5.854	27	0 1 -1
15.67	5.655	100	1 0 -1
18.46	4.807	24	1 -1 0
19.78	4.487	41	-1 1 1
20.18	4.400	29	0 1 2
25.02	3.559	29	-1 1 2
30.76	2.907	39	1 2 -2
39.28	2.293	22	1 3 3